This entry pairs a crystal structure of PrSc2ZnAu4 with its calculated X-ray diffraction stick pattern. Radiation: copper Kα. Structure: a DFT-relaxed cell (PBE, Alexandria).
No peak broadening, texture or thermal motion is included.

Peak list (12 most intense, 2θ = 10–90°, by intensity)
| Position (°2θ) | I_rel | hkl |
| --- | --- | --- |
| 38.1 | 100 | 1 1 0 |
| 35.1 | 77 | 0 1 8 |
| 25.7 | 43 | 1 0 4 |
| 52.8 | 24 | 2 0 8 |
| 66.9 | 23 | 1 2 8 |
| 40.9 | 23 | 1 0 10 |
| 68.9 | 18 | 3 0 0 |
| 22.8 | 17 | 0 1 2 |
| 44.0 | 15 | 0 1 11 |
| 32.4 | 15 | 1 0 7 |
| 66.6 | 12 | 1 1 15 |
| 81.6 | 11 | 2 2 0 |

Structure:
Unit cell a=4.7216 b=4.7216 c=26.2256 alpha=90.00 beta=90.00 gamma=120.00
Space group R-3m (No. 166, hexagonal axes)
One atom of each set of equivalent atoms:
Pr (0.0000, 0.0000, 0.0000) x3
Sc (0.0000, 0.0000, 0.2346) x6
Zn (0.0000, 0.0000, 0.5000) x3
Au (0.0000, 0.0000, 0.1237) x6
Au (0.0000, 0.0000, 0.3965) x6


This entry pairs a crystal structure of Pr5AuSe4 with its calculated X-ray diffraction stick pattern. Radiation: copper Kα. Structure: a DFT-relaxed cell (PBE, Alexandria).
No peak broadening, texture or thermal motion is included.

Peak list (12 most intense, 2θ = 10–90°, by intensity)
| Position (°2θ) | I_rel | hkl |
| --- | --- | --- |
| 29.5 | 100 | 3 1 0 |
| 42.1 | 76 | 3 1 2 |
| 29.3 | 50 | 0 0 2 |
| 52.3 | 40 | 2 4 2 |
| 42.3 | 37 | 2 4 0 |
| 77.2 | 25 | 5 5 2 |
| 69.1 | 17 | 3 1 4 |
| 69.4 | 17 | 6 2 2 |
| 69.5 | 17 | 5 5 0 |
| 76.9 | 13 | 2 4 4 |
| 61.3 | 12 | 6 2 0 |
| 25.4 | 10 | 1 2 1 |

Structure:
Unit cell a=9.565 b=9.565 c=6.091 alpha=90.00 beta=90.00 gamma=90.00
Space group I4/m (No. 87)
One atom of each set of equivalent atoms:
Pr (0.000, 0.000, 0.000) x2
Pr (0.102, 0.698, 0.500) x8
Au (0.000, 0.000, 0.500) x2
Se (0.099, 0.699, 0.000) x8